Structure and simulated powder X-ray diffraction pattern of CsMoC6 (the GGA-PBE geometry in the Materials Project; Cu Kα).

Structure:
```
CsMoC6
1.0
5.4444 0.0000 0.0000
0.0000 5.4444 0.0000
0.0000 0.0000 5.4444
Cs Mo C
1 1 6
Cartesian
0.0000 0.0000 0.0000
2.7222 2.7222 2.7222
0.6341 2.7222 2.7222
2.7222 0.6341 2.7222
2.7222 2.7222 0.6341
2.7222 2.7222 4.8104
2.7222 4.8104 2.7222
4.8104 2.7222 2.7222
```

Peak list (10 most intense, 10 to 80 degrees two-theta, by intensity)
2θ (°)  Rel. int.
23.1  100
40.6  38
32.9  32
64.0  25
53.2  25
47.2  19
73.8  11
78.6  7
28.4  6
58.7  6

=====

Structure and simulated powder X-ray diffraction pattern of Cs3MoC6S3N6 (the GGA-PBE geometry in the Materials Project; Cu Kα).

Structure:
```
Cs3MoC6S3N6
1.0
9.5009 0.0000 0.0000
-4.7504 8.2280 0.0000
0.0000 0.0000 7.2831
Cs Mo C S N
3 1 6 3 6
Cartesian
0.0000 2.8852 0.0000
-2.2517 6.7854 0.0000
2.2518 6.7854 0.0000
4.7505 2.7427 0.0000
4.7505 0.0995 1.9361
4.7505 0.0995 5.3470
2.4614 4.0642 1.9361
2.4614 4.0642 5.3470
7.0395 4.0642 1.9361
7.0395 4.0642 5.3470
-1.8617 4.4105 3.6415
1.8617 4.4105 3.6415
0.0000 7.6351 3.6415
4.7505 1.1374 1.3105
4.7505 1.1374 5.9726
3.3602 3.5453 1.3105
3.3602 3.5453 5.9726
6.1407 3.5453 1.3105
6.1407 3.5453 5.9726
```

Peak list (10 most intense, 10 to 80 degrees two-theta, by intensity)
2θ (°)  Rel. int.
24.9  100
12.2  51
21.6  47
32.8  38
43.3  21
37.9  18
39.9  17
10.8  16
45.6  15
45.8  14

=====

Structure and simulated powder X-ray diffraction pattern of Cs2CN2 (the GGA-PBE geometry in the Materials Project; Cu Kα).

Structure:
```
Cs2CN2
1.0
5.8669 0.0000 0.0000
1.7765 5.8192 0.0000
1.2184 1.2948 12.8628
Cs C N
6 3 6
Cartesian
1.2067 3.2057 3.1948
4.5117 6.0630 11.7738
4.0080 5.3496 5.3653
4.8539 1.7645 7.4975
4.3501 1.0511 1.0890
7.6552 3.9083 9.6680
0.8882 2.9096 0.0000
4.2022 5.7519 8.5772
4.6596 1.3622 4.2856
1.7742 0.9929 8.6371
2.7715 3.1506 12.8451
4.8555 4.6916 8.5200
4.0063 2.4224 4.3428
6.0903 3.9635 0.0176
7.0876 6.1212 4.2256
```

Peak list (10 most intense, 10 to 80 degrees two-theta, by intensity)
2θ (°)  Rel. int.
21.7  100
31.3  42
25.1  29
42.2  22
30.4  22
30.5  21
44.2  21
32.6  16
35.7  16
49.2  14

=====

Structure and simulated powder X-ray diffraction pattern of CsNiC3S3N3 (the GGA-PBE geometry in the Materials Project; Cu Kα).

Structure:
```
CsNiC3S3N3
1.0
5.5409 0.0000 0.0000
0.0000 13.2992 0.0000
-4.1241 0.0000 12.5064
Cs Ni C S N
4 4 12 12 12
Cartesian
-0.5416 3.0471 2.7201
-2.6037 3.6025 8.9733
4.0204 9.6967 3.5331
1.9583 10.2521 9.7863
0.0000 0.0000 0.0000
-2.0621 6.6496 6.2532
0.7084 0.0000 6.2532
2.7704 6.6496 0.0000
-0.0957 7.9017 0.9273
-2.1578 12.0471 7.1805
-1.2732 7.3170 9.2245
0.7888 12.6318 2.9713
0.6426 8.2187 6.1340
-1.4195 11.7301 12.3872
2.8363 1.5691 0.1192
0.7742 5.0805 6.3725
0.6279 0.6674 9.5351
2.6900 5.9822 3.2819
3.5745 1.2521 5.3259
1.5125 5.3975 11.5791
-2.7814 2.1332 12.3125
-0.7193 4.5164 6.0593
1.3974 8.5546 0.9663
-0.6647 11.3942 7.2195
-0.7733 8.0962 10.5803
1.2887 11.8527 4.3271
0.1280 1.4466 8.1793
2.1901 5.2030 1.9261
2.0814 1.9050 5.2869
0.0193 4.7446 11.5401
2.1360 8.7828 6.4471
4.1981 11.1660 0.1939
-0.8791 0.7807 5.3798
-2.9411 5.8689 11.6331
-1.6469 6.7901 8.2359
0.4151 13.1587 1.9827
-0.4341 7.7925 5.9001
-2.4961 12.1563 12.1533
3.9129 1.1429 0.3532
1.8508 5.5067 6.6064
1.0016 0.1405 10.5237
3.0637 6.5091 4.2705
4.3579 7.4303 0.8734
2.2958 12.5185 7.1266
```

Peak list (10 most intense, 10 to 80 degrees two-theta, by intensity)
2θ (°)  Rel. int.
19.5  100
30.4  40
17.4  37
21.5  34
29.3  29
29.1  24
27.3  24
28.7  23
31.8  23
22.7  22

=====

Structure and simulated powder X-ray diffraction pattern of CsCSN (the GGA-PBE geometry in the Materials Project; Cu Kα).

Structure:
```
CsCSN
1.0
8.1294 0.0000 0.0000
0.0000 6.4396 0.0000
0.0000 0.0000 8.5098
Cs C S N
4 4 4 4
Cartesian
1.4676 1.6099 0.8915
2.5971 4.8297 5.1464
5.5323 1.6099 3.3634
6.6618 4.8297 7.6183
1.4104 1.6099 4.7560
2.6543 4.8297 0.5011
5.4751 1.6099 8.0087
6.7190 4.8297 3.7538
0.1958 1.6099 5.8500
3.8689 4.8297 1.5951
4.2605 1.6099 6.9147
7.9336 4.8297 2.6598
1.7482 4.8297 8.2359
2.3165 1.6099 3.9810
5.8129 4.8297 4.5288
6.3812 1.6099 0.2739
```

Peak list (10 most intense, 10 to 80 degrees two-theta, by intensity)
2θ (°)  Rel. int.
23.6  100
20.5  86
27.7  85
25.9  72
27.4  65
36.7  62
28.0  61
34.6  44
45.0  42
41.9  37

=====

Structure and simulated powder X-ray diffraction pattern of CsNaC2 (the GGA-PBE geometry in the Materials Project; Cu Kα).

Structure:
```
CsNaC2
1.0
8.4326 0.0000 0.0000
0.0000 6.9619 0.0000
0.0000 0.0000 6.6746
Cs Na C
4 4 8
Cartesian
1.3240 0.2337 1.6686
1.3240 3.2472 5.0059
7.1086 3.7147 1.6686
7.1086 6.7281 5.0059
3.9548 5.2214 0.0000
3.9548 5.2214 3.3373
4.4778 1.7405 0.0000
4.4778 1.7405 3.3373
2.1201 3.8814 1.6686
2.1201 6.5614 5.0059
3.1856 0.2837 5.0059
3.1856 3.1972 1.6686
5.2470 3.7647 5.0059
5.2470 6.6781 1.6686
6.3125 0.4004 1.6686
6.3125 3.0805 5.0059
```

Peak list (10 most intense, 10 to 80 degrees two-theta, by intensity)
2θ (°)  Rel. int.
28.1  100
21.2  90
37.3  36
26.7  29
25.6  25
49.9  22
28.8  22
31.8  22
48.0  21
27.7  21

=====

Structure and simulated powder X-ray diffraction pattern of CsNbC6 (the GGA-PBE geometry in the Materials Project; Cu Kα).

Structure:
```
CsNbC6
1.0
5.6212 0.0000 0.0000
0.0000 5.6212 0.0000
0.0000 0.0000 5.6212
Cs Nb C
1 1 6
Cartesian
0.0000 0.0000 0.0000
2.8106 2.8106 2.8106
0.6300 2.8106 2.8106
2.8106 0.6300 2.8106
2.8106 2.8106 0.6300
2.8106 2.8106 4.9912
2.8106 4.9912 2.8106
4.9912 2.8106 2.8106
```

Peak list (10 most intense, 10 to 80 degrees two-theta, by intensity)
2θ (°)  Rel. int.
22.4  100
39.3  39
31.8  33
61.7  26
51.4  26
45.6  20
71.2  12
75.7  7
27.5  7
56.7  6

=====

Structure and simulated powder X-ray diffraction pattern of Cs4CO4 (the GGA-PBE geometry in the Materials Project; Cu Kα).

Structure:
```
Cs4CO4
1.0
4.3799 2.5287 3.6806
-4.3799 2.5287 3.6806
0.0000 -5.0574 3.6806
Cs C O
4 1 4
Cartesian
0.0000 0.0000 0.0000
-2.4773 1.1434 7.0452
0.2484 -2.7171 7.0452
2.2289 1.5737 7.0452
0.0000 0.0000 8.1152
-1.1272 -0.7610 8.5896
0.0000 0.0000 6.6660
-0.0954 1.3566 8.5896
1.2226 -0.5957 8.5896
```

Peak list (10 most intense, 10 to 80 degrees two-theta, by intensity)
2θ (°)  Rel. int.
24.8  100
28.6  75
24.2  37
48.4  30
40.4  29
41.2  24
47.7  17
48.7  14
35.3  12
50.9  10

=====

Structure and simulated powder X-ray diffraction pattern of Cs4CO4 (the GGA-PBE geometry in the Materials Project; Cu Kα).

Structure:
```
Cs4CO4
1.0
6.7967 -2.5894 0.0000
6.7967 2.5894 0.0000
-2.3270 0.0000 7.2525
Cs C O
4 1 4
Cartesian
0.8072 0.0000 2.3042
4.5093 -0.9547 0.9711
6.7570 -0.9547 6.2813
10.4592 0.0000 4.9482
6.7967 0.8148 0.0000
5.6979 1.6466 0.4323
5.5685 1.6466 6.8202
4.0242 -0.0018 6.1643
7.2421 -0.0018 1.0881
```

Peak list (10 most intense, 10 to 80 degrees two-theta, by intensity)
2θ (°)  Rel. int.
23.3  100
26.8  93
24.2  56
27.6  47
38.1  33
29.1  30
31.8  29
12.2  27
18.5  25
44.2  22

=====

Structure and simulated powder X-ray diffraction pattern of Cs4CO4 (the GGA-PBE geometry in the Materials Project; Cu Kα).

Structure:
```
Cs4CO4
1.0
6.2402 0.0000 0.0000
0.0000 6.2402 0.0000
0.0000 0.0000 6.2402
Cs C O
4 1 4
Cartesian
1.4302 1.4302 4.8100
1.4302 4.8100 1.4302
4.8100 1.4302 1.4302
4.8100 4.8100 4.8100
3.1201 3.1201 3.1201
2.2867 2.2867 2.2867
2.2867 3.9535 3.9535
3.9535 2.2867 3.9535
3.9535 3.9535 2.2867
```

Peak list (10 most intense, 10 to 80 degrees two-theta, by intensity)
2θ (°)  Rel. int.
24.7  100
28.6  56
48.4  50
40.9  41
65.2  16
35.2  15
67.1  14
50.7  13
79.9  12
74.5  11

=====

Structure and simulated powder X-ray diffraction pattern of Cs2CO3 (the GGA-PBE geometry in the Materials Project; Cu Kα).

Structure:
```
Cs2CO3
1.0
6.2633 0.0000 0.0000
0.0000 10.6009 0.0000
-0.8798 0.0000 8.0448
Cs C O
8 4 12
Cartesian
1.0897 2.3157 3.8678
0.6498 2.9848 7.8903
1.3186 6.1866 2.5662
0.8787 9.7147 6.5886
4.5048 0.8861 1.4562
4.0649 4.4143 5.4787
4.7337 7.6161 0.1546
4.2938 8.2852 4.1770
0.9553 6.1554 5.9704
1.3952 9.7460 1.9480
3.9883 0.8549 6.0968
4.4282 4.4455 2.0744
-0.0960 6.6675 6.5516
0.3439 9.2339 2.5291
1.3684 0.3800 1.5074
0.9285 4.9204 5.5298
2.0412 6.8721 5.8079
2.4811 9.0292 1.7855
2.9024 1.5717 6.2593
3.3423 3.7288 2.2369
4.4550 5.6805 2.5150
4.0151 10.2209 6.5374
5.0397 1.3670 5.5157
5.4796 3.9334 1.4933
```

Peak list (10 most intense, 10 to 80 degrees two-theta, by intensity)
2θ (°)  Rel. int.
29.0  100
28.7  39
26.4  39
27.8  33
38.5  16
24.0  14
34.5  14
19.0  14
33.8  13
20.1  13

=====

Structure and simulated powder X-ray diffraction pattern of Cs4CO4 (the GGA-PBE geometry in the Materials Project; Cu Kα).

Structure:
```
Cs4CO4
1.0
6.2312 -3.0543 0.0000
6.2312 3.0543 0.0000
-2.6709 0.0000 6.0373
Cs C O
4 1 4
Cartesian
0.5563 0.0000 2.6080
4.2030 -0.5936 0.6181
5.5883 -0.5936 5.4192
9.2351 0.0000 3.4293
6.2312 1.7030 0.0000
5.1220 2.5217 0.3735
4.6694 2.5217 5.6638
3.1744 0.8585 4.9270
6.6170 0.8585 1.1103
```

Peak list (10 most intense, 10 to 80 degrees two-theta, by intensity)
2θ (°)  Rel. int.
26.5  100
24.2  100
27.3  45
31.4  34
29.2  31
45.0  30
32.9  26
40.4  23
43.4  19
49.0  17